No. 1
For PmTm4Se6, the PBE geometry in Alexandria gives the calculated XRD peak list in this record (Cu Kα (λ = 1.5418 Å)).
No peak broadening, texture or thermal motion is included.

Atomic structure:
```
PmTm4Se6
1.0
1.9914 -6.6139 0.0000
1.9914 6.6139 0.0000
0.0000 0.0000 20.5865
Pm Tm Se
2 8 12
Direct
0.1530 0.8470 0.7500 Pm
0.8470 0.1530 0.2500 Pm
0.0907 0.9093 0.1256 Tm
0.0907 0.9093 0.3744 Tm
0.3598 0.6402 0.0377 Tm
0.3598 0.6402 0.4623 Tm
0.6402 0.3598 0.5377 Tm
0.6402 0.3598 0.9623 Tm
0.9093 0.0907 0.6256 Tm
0.9093 0.0907 0.8744 Tm
0.0000 0.0000 0.0000 Se
0.0000 0.0000 0.5000 Se
0.1825 0.8175 0.2500 Se
0.2677 0.7323 0.5900 Se
0.2677 0.7323 0.9100 Se
0.4509 0.5491 0.1636 Se
0.4509 0.5491 0.3364 Se
0.5491 0.4509 0.6636 Se
0.5491 0.4509 0.8364 Se
0.7323 0.2677 0.0900 Se
0.7323 0.2677 0.4100 Se
0.8175 0.1825 0.7500 Se
```

Main lines, sorted by position (10 to 80 degrees two-theta):
- 25.5 deg, d = 3.495 Å, I = 56
- 29.3 deg, d = 3.046 Å, I = 32
- 30.6 deg, d = 2.926 Å, I = 44
- 31.5 deg, d = 2.841 Å, I = 100
- 33.0 deg, d = 2.714 Å, I = 69
- 33.3 deg, d = 2.687 Å, I = 34
- 42.4 deg, d = 2.133 Å, I = 41
- 44.7 deg, d = 2.026 Å, I = 66
- 45.6 deg, d = 1.991 Å, I = 38
- 46.8 deg, d = 1.943 Å, I = 38
- 65.7 deg, d = 1.420 Å, I = 20
- 79.2 deg, d = 1.210 Å, I = 23

No. 2
For Al7Fe6, the PBE geometry in Alexandria gives the calculated XRD peak list in this record (Cu Kα (λ = 1.5418 Å)).
No peak broadening, texture or thermal motion is included.

Atomic structure:
```
Al7Fe6
1.0
2.4732 1.4279 8.3389
-2.4732 1.4279 8.3389
0.0000 -2.8558 8.3389
Al Fe
7 6
Direct
0.0000 0.0000 0.0000 Al
0.0837 0.0837 0.5788 Al
0.0837 0.5788 0.0837 Al
0.4212 0.9163 0.9163 Al
0.5788 0.0837 0.0837 Al
0.9163 0.4212 0.9163 Al
0.9163 0.9163 0.4212 Al
0.1668 0.1668 0.1668 Fe
0.3510 0.3510 0.3510 Fe
0.4535 0.4535 0.4535 Fe
0.5465 0.5465 0.5465 Fe
0.6490 0.6490 0.6490 Fe
0.8332 0.8332 0.8332 Fe
```

Main lines, sorted by position (10 to 80 degrees two-theta):
- 10.6 deg, d = 8.339 Å, I = 21
- 36.3 deg, d = 2.473 Å, I = 100
- 41.8 deg, d = 2.160 Å, I = 52
- 42.4 deg, d = 2.134 Å, I = 34
- 42.5 deg, d = 2.127 Å, I = 86
- 45.1 deg, d = 2.009 Å, I = 51
- 46.1 deg, d = 1.969 Å, I = 21
- 69.1 deg, d = 1.359 Å, I = 19
- 69.6 deg, d = 1.351 Å, I = 18
- 71.5 deg, d = 1.319 Å, I = 24
- 77.1 deg, d = 1.237 Å, I = 27
- 79.0 deg, d = 1.212 Å, I = 15

No. 3
For Na4Tl5Cd, the PBE geometry in Alexandria gives the calculated XRD peak list in this record (Cu Kα (λ = 1.5418 Å)).
No peak broadening, texture or thermal motion is included.

Atomic structure:
```
Na4Tl5Cd
1.0
6.0412 0.0000 0.0000
2.1406 6.4087 0.0000
2.0886 1.1560 7.2862
Na Tl Cd
4 5 1
Direct
0.1150 0.3909 0.3025 Na
0.2957 0.1909 0.8913 Na
0.7043 0.8091 0.1087 Na
0.8850 0.6091 0.6975 Na
0.1177 0.8881 0.3031 Tl
0.2929 0.6905 0.8861 Tl
0.5000 0.0000 0.5000 Tl
0.7071 0.3095 0.1139 Tl
0.8823 0.1119 0.6969 Tl
0.5000 0.5000 0.5000 Cd
```

Main lines, sorted by position (10 to 80 degrees two-theta):
- 14.0 deg, d = 6.329 Å, I = 12
- 18.1 deg, d = 4.904 Å, I = 52
- 26.3 deg, d = 3.390 Å, I = 42
- 31.7 deg, d = 2.824 Å, I = 51
- 32.1 deg, d = 2.792 Å, I = 100
- 32.6 deg, d = 2.750 Å, I = 49
- 36.6 deg, d = 2.452 Å, I = 35
- 37.0 deg, d = 2.428 Å, I = 35
- 38.0 deg, d = 2.368 Å, I = 32
- 53.7 deg, d = 1.707 Å, I = 12
- 63.2 deg, d = 1.472 Å, I = 14
- 63.9 deg, d = 1.457 Å, I = 14

No. 4
For ZrAg2F7, the PBE geometry in Alexandria gives the calculated XRD peak list in this record (Cu Kα (λ = 1.5418 Å)).
No peak broadening, texture or thermal motion is included.

Atomic structure:
```
ZrAg2F7
1.0
6.0303 -3.2401 0.0000
6.0303 3.2401 0.0000
-3.4421 0.0000 6.7895
Zr Ag F
2 4 14
Direct
0.0182 0.9818 0.7500 Zr
0.9818 0.0182 0.2500 Zr
0.3225 0.3361 0.2464 Ag
0.3361 0.3225 0.7464 Ag
0.6639 0.6775 0.2536 Ag
0.6775 0.6639 0.7536 Ag
0.0302 0.3268 0.3002 F
0.0680 0.7865 0.4560 F
0.0931 0.6622 0.0982 F
0.2135 0.9320 0.0440 F
0.3268 0.0302 0.8002 F
0.3378 0.9069 0.4018 F
0.3913 0.6087 0.7500 F
0.6087 0.3913 0.2500 F
0.6622 0.0931 0.5982 F
0.6732 0.9698 0.1998 F
0.7865 0.0680 0.9560 F
0.9069 0.3378 0.9018 F
0.9320 0.2135 0.5440 F
0.9698 0.6732 0.6998 F
```

Main lines, sorted by position (10 to 80 degrees two-theta):
- 26.3 deg, d = 3.395 Å, I = 85
- 27.5 deg, d = 3.240 Å, I = 49
- 28.4 deg, d = 3.137 Å, I = 100
- 30.2 deg, d = 2.961 Å, I = 82
- 38.4 deg, d = 2.344 Å, I = 62
- 45.3 deg, d = 2.003 Å, I = 23
- 46.5 deg, d = 1.951 Å, I = 28
- 49.2 deg, d = 1.850 Å, I = 36
- 50.0 deg, d = 1.825 Å, I = 26
- 50.4 deg, d = 1.812 Å, I = 32
- 53.8 deg, d = 1.704 Å, I = 23
- 58.9 deg, d = 1.569 Å, I = 16

No. 5
For DySbPt6, the PBE geometry in Alexandria gives the calculated XRD peak list in this record (Cu Kα (λ = 1.5418 Å)).
No peak broadening, texture or thermal motion is included.

Atomic structure:
```
DySbPt6
1.0
4.0982 0.0000 0.0000
0.0000 4.0982 0.0000
0.0000 0.0000 8.2122
Dy Sb Pt
1 1 6
Direct
0.0000 0.0000 0.0000 Dy
0.0000 0.0000 0.5000 Sb
0.0000 0.5000 0.2537 Pt
0.0000 0.5000 0.7463 Pt
0.5000 0.0000 0.2537 Pt
0.5000 0.0000 0.7463 Pt
0.5000 0.5000 0.0000 Pt
0.5000 0.5000 0.5000 Pt
```

Main lines, sorted by position (10 to 80 degrees two-theta):
- 21.7 deg, d = 4.101 Å, I = 1
- 30.8 deg, d = 2.900 Å, I = 1
- 38.0 deg, d = 2.368 Å, I = 100
- 44.2 deg, d = 2.050 Å, I = 49
- 49.7 deg, d = 1.834 Å, I = 1
- 54.8 deg, d = 1.674 Å, I = 1
- 64.2 deg, d = 1.450 Å, I = 33
- 77.1 deg, d = 1.238 Å, I = 13
- 77.2 deg, d = 1.236 Å, I = 26

No. 6
For Cs2AgHg6Pb, the PBE geometry in Alexandria gives the calculated XRD peak list in this record (Cu Kα (λ = 1.5418 Å)).
No peak broadening, texture or thermal motion is included.

Atomic structure:
```
Cs2AgHg6Pb
1.0
7.7721 0.0000 0.0000
3.8812 6.7632 0.0000
3.8822 2.2540 7.0790
Cs Ag Hg Pb
2 1 6 1
Direct
0.2149 0.2119 0.3557 Cs
0.7851 0.7881 0.6443 Cs
0.0000 0.0000 0.0000 Ag
0.2346 0.2524 0.8379 Hg
0.2499 0.6805 0.8335 Hg
0.3249 0.7577 0.1621 Hg
0.6751 0.2423 0.8379 Hg
0.7501 0.3195 0.1665 Hg
0.7654 0.7476 0.1621 Hg
0.5000 0.5000 0.5000 Pb
```

Main lines, sorted by position (10 to 80 degrees two-theta):
- 12.5 deg, d = 7.079 Å, I = 22
- 15.6 deg, d = 5.694 Å, I = 44
- 24.8 deg, d = 3.595 Å, I = 38
- 26.1 deg, d = 3.413 Å, I = 34
- 27.7 deg, d = 3.218 Å, I = 49
- 27.8 deg, d = 3.210 Å, I = 24
- 31.4 deg, d = 2.847 Å, I = 100
- 32.4 deg, d = 2.767 Å, I = 25
- 33.9 deg, d = 2.641 Å, I = 25
- 42.2 deg, d = 2.141 Å, I = 18
- 46.5 deg, d = 1.952 Å, I = 33
- 46.6 deg, d = 1.949 Å, I = 24

No. 7
For La2Sm3Dy4, the PBE geometry in Alexandria gives the calculated XRD peak list in this record (Cu Kα (λ = 1.5418 Å)).
No peak broadening, texture or thermal motion is included.

Atomic structure:
```
La2Sm3Dy4
1.0
3.6233 0.0000 0.0000
-1.8117 3.1379 0.0000
0.0000 0.0000 26.8470
La Sm Dy
2 3 4
Direct
0.0000 0.0000 0.0000 La
0.0000 0.0000 0.2271 La
0.0000 0.0000 0.7823 Sm
0.3333 0.6667 0.1163 Sm
0.3333 0.6667 0.4607 Sm
0.0000 0.0000 0.3557 Dy
0.0000 0.0000 0.5701 Dy
0.3333 0.6667 0.6742 Dy
0.3333 0.6667 0.8894 Dy
```

Main lines, sorted by position (10 to 80 degrees two-theta):
- 28.4 deg, d = 3.138 Å, I = 43
- 30.0 deg, d = 2.983 Å, I = 41
- 30.2 deg, d = 2.961 Å, I = 10
- 31.5 deg, d = 2.843 Å, I = 55
- 33.1 deg, d = 2.709 Å, I = 100
- 41.8 deg, d = 2.162 Å, I = 26
- 50.4 deg, d = 1.812 Å, I = 35
- 56.2 deg, d = 1.636 Å, I = 30
- 59.7 deg, d = 1.548 Å, I = 35
- 60.6 deg, d = 1.528 Å, I = 8
- 61.6 deg, d = 1.506 Å, I = 17
- 78.8 deg, d = 1.214 Å, I = 11

No. 8
For PmPr2Dy5Ho, the PBE geometry in Alexandria gives the calculated XRD peak list in this record (Cu Kα (λ = 1.5418 Å)).
No peak broadening, texture or thermal motion is included.

Atomic structure:
```
PmPr2Dy5Ho
1.0
-4.3525 4.3525 7.8541
4.3525 -4.3525 7.8541
4.3525 4.3525 -7.8541
Pm Pr Dy Ho
2 4 10 2
Direct
0.2500 0.2500 0.0000 Pm
0.7500 0.7500 0.0000 Pm
0.1181 0.6181 0.7361 Pr
0.3819 0.1181 0.5000 Pr
0.6181 0.8819 0.5000 Pr
0.8819 0.3819 0.2639 Pr
0.0000 0.0000 0.0000 Dy
0.0721 0.1485 0.5000 Dy
0.1485 0.6485 0.0764 Dy
0.3515 0.4279 0.5000 Dy
0.4279 0.9279 0.0764 Dy
0.5000 0.5000 0.0000 Dy
0.5721 0.0721 0.9236 Dy
0.6485 0.5721 0.5000 Dy
0.8515 0.3515 0.9236 Dy
0.9279 0.8515 0.5000 Dy
0.2500 0.7500 0.5000 Ho
0.7500 0.2500 0.5000 Ho
```

Main lines, sorted by position (10 to 80 degrees two-theta):
- 28.6 deg, d = 3.124 Å, I = 45
- 29.0 deg, d = 3.078 Å, I = 52
- 30.7 deg, d = 2.916 Å, I = 100
- 32.5 deg, d = 2.753 Å, I = 11
- 34.5 deg, d = 2.598 Å, I = 11
- 37.7 deg, d = 2.386 Å, I = 15
- 43.2 deg, d = 2.092 Å, I = 10
- 46.2 deg, d = 1.964 Å, I = 12
- 46.4 deg, d = 1.958 Å, I = 10
- 52.5 deg, d = 1.744 Å, I = 24
- 55.5 deg, d = 1.655 Å, I = 13
- 60.2 deg, d = 1.538 Å, I = 15